Entry 1:
For Li2FeSiO5, the GGA+U geometry in the Materials Project gives the simulated X-ray diffraction stick pattern in this record (a wavelength of 1.5418 Å).
Intensities are scaled so that the largest is 100.

Atomic structure:
```
data_Li2FeSiO5
_chemical_formula_sum 'Li16 Fe8 Si8 O40'
_space_group_name_H-M_alt 'C 1 2 1'
_space_group_IT_number 5
_cell_length_a 12.880
_cell_length_b 9.066
_cell_length_c 9.105
_cell_angle_alpha 90.00
_cell_angle_beta 134.99
_cell_angle_gamma 90.00
loop_
_space_group_symop_operation_xyz
'x,y,z'
'-x,y,-z'
'x+1/2,y+1/2,z'
'-x+1/2,y+1/2,-z'
loop_
_atom_site_label
_atom_site_fract_x
_atom_site_fract_y
_atom_site_fract_z
Li1 0.001 0.000 0.250
Li2 0.001 0.500 0.752
Li3 0.249 0.000 0.256
Li4 0.249 0.500 0.242
Fe1 0.000 0.199 0.500
Fe2 0.000 0.298 0.000
Fe3 0.000 0.699 0.500
Fe4 0.000 0.799 0.000
Si1 0.248 0.249 0.998
Si2 0.248 0.748 0.497
O1 0.000 0.106 0.000
O2 0.000 0.390 0.500
O3 0.000 0.607 0.000
O4 0.000 0.891 0.500
O5 0.146 0.351 0.289
O6 0.146 0.852 0.003
O7 0.147 0.145 0.505
O8 0.147 0.645 0.789
O9 0.148 0.135 0.802
O10 0.148 0.635 0.495
O11 0.150 0.364 0.997
O12 0.150 0.864 0.302
```

Top 12 peaks for 2θ = 10–90°, by angle:
2theta  I (rel.)
19.57  86
24.01  49
27.71  100
34.16  77
42.27  30
44.51  32
46.83  22
57.22  26
57.36  17
61.07  16
68.35  17
70.36  18

Entry 2:
For ZnFe2Se4O12, the GGA+U geometry in the Materials Project gives the simulated X-ray diffraction stick pattern in this record (a wavelength of 1.5418 Å).
Intensities are scaled so that the largest is 100.

Atomic structure:
```
data_ZnFe2Se4O12
_chemical_formula_sum 'Zn2 Fe4 Se8 O24'
_space_group_name_H-M_alt 'P 1 c 1'
_space_group_IT_number 7
_cell_length_a 8.337
_cell_length_b 8.189
_cell_length_c 8.193
_cell_angle_alpha 90.00
_cell_angle_beta 92.24
_cell_angle_gamma 90.00
loop_
_space_group_symop_operation_xyz
'x,y,z'
'x,-y,z+1/2'
loop_
_atom_site_label
_atom_site_fract_x
_atom_site_fract_y
_atom_site_fract_z
Zn1 0.000 0.102 0.000
Fe1 0.163 0.261 0.406
Fe2 0.655 0.240 0.899
Se1 0.343 0.072 0.106
Se2 0.483 0.443 0.575
Se3 0.749 0.175 0.323
Se4 0.972 0.405 0.705
O1 0.044 0.463 0.354
O2 0.143 0.307 0.647
O3 0.175 0.190 0.165
O4 0.225 0.018 0.449
O5 0.387 0.338 0.412
O6 0.442 0.219 0.004
O7 0.584 0.281 0.668
O8 0.640 0.003 0.350
O9 0.642 0.473 0.971
O10 0.796 0.167 0.115
O11 0.894 0.252 0.832
O12 0.937 0.127 0.414
```

Top 12 peaks for 2θ = 10–90°, by angle:
2theta  I (rel.)
23.97  33
24.30  100
24.61  23
26.24  60
26.73  40
30.62  24
30.89  21
31.23  21
32.84  19
35.46  28
35.94  20
36.21  20

Entry 3:
For VOF, the GGA+U geometry in the Materials Project gives the simulated X-ray diffraction stick pattern in this record (a wavelength of 1.5418 Å).
Intensities are scaled so that the largest is 100.

Atomic structure:
```
data_VOF
_chemical_formula_sum 'V6 O6 F6'
_space_group_name_H-M_alt 'R -3 m'
_space_group_IT_number 166
_space_group_name_Hall '-R 3 2"'
_cell_length_a 3.3349
_cell_length_b 3.3349
_cell_length_c 23.0542
_cell_angle_alpha 90.00
_cell_angle_beta 90.00
_cell_angle_gamma 120.00
loop_
_atom_site_label
_atom_site_fract_x
_atom_site_fract_y
_atom_site_fract_z
V1 0.0000 0.0000 0.1083
O1 0.0000 0.0000 0.1996
F1 0.0000 0.0000 0.3943
```

Top 12 peaks for 2θ = 10–90°, by angle:
2theta  I (rel.)
11.51  100
23.15  32
31.21  25
34.74  77
35.03  9
44.41  11
50.66  40
55.08  37
60.53  10
65.22  12
66.78  9
78.09  9

Entry 4:
For LiCo4O8, the GGA+U geometry in the Materials Project gives the simulated X-ray diffraction stick pattern in this record (a wavelength of 1.5418 Å).
Intensities are scaled so that the largest is 100.

Atomic structure:
```
data_LiCo4O8
_chemical_formula_sum 'Li2 Co8 O16'
_space_group_name_H-M_alt 'P -1'
_space_group_IT_number 2
_cell_length_a 5.707
_cell_length_b 5.712
_cell_length_c 9.889
_cell_angle_alpha 73.40
_cell_angle_beta 73.32
_cell_angle_gamma 60.28
loop_
_space_group_symop_operation_xyz
'x,y,z'
'-x,-y,-z'
loop_
_atom_site_label
_atom_site_fract_x
_atom_site_fract_y
_atom_site_fract_z
Li1 0.249 0.252 0.250
Co1 0.000 0.000 0.000
Co2 0.000 0.500 0.000
Co3 0.000 0.500 0.500
Co4 0.258 0.254 0.747
Co5 0.500 0.000 0.000
Co6 0.500 0.000 0.500
Co7 0.500 0.500 0.500
O1 0.084 0.631 0.125
O2 0.144 0.144 0.105
O3 0.151 0.589 0.618
O4 0.155 0.148 0.619
O5 0.355 0.354 0.881
O6 0.370 0.915 0.876
O7 0.372 0.362 0.398
O8 0.403 0.859 0.383
```

Top 12 peaks for 2θ = 10–90°, by angle:
2theta  I (rel.)
19.02  100
36.82  18
36.92  15
38.56  10
44.78  34
44.98  17
49.14  7
59.35  6
59.57  5
65.08  5
65.32  18
68.72  4

Entry 5:
For Li4V7P6O24, the GGA+U geometry in the Materials Project gives the simulated X-ray diffraction stick pattern in this record (a wavelength of 1.5418 Å).
Intensities are scaled so that the largest is 100.

Atomic structure:
```
data_Li4V7P6O24
_chemical_formula_sum 'Li8 V14 P12 O48'
_space_group_name_H-M_alt 'C 1 m 1'
_space_group_IT_number 8
_cell_length_a 10.749
_cell_length_b 14.220
_cell_length_c 6.708
_cell_angle_alpha 90.00
_cell_angle_beta 106.79
_cell_angle_gamma 90.00
loop_
_space_group_symop_operation_xyz
'x,y,z'
'x,-y,z'
'x+1/2,y+1/2,z'
'x+1/2,-y+1/2,z'
loop_
_atom_site_label
_atom_site_fract_x
_atom_site_fract_y
_atom_site_fract_z
Li1 0.000 0.000 0.000
Li2 0.135 0.500 0.903
Li3 0.441 0.110 0.002
V1 0.000 0.000 0.494
V2 0.179 0.182 0.298
V3 0.322 0.320 0.678
V4 0.499 0.178 0.487
P1 0.098 0.186 0.794
P2 0.168 0.500 0.403
P3 0.329 0.000 0.575
P4 0.401 0.319 0.183
O1 0.000 0.100 0.737
O2 0.002 0.271 0.792
O3 0.004 0.099 0.251
O4 0.054 0.500 0.199
O5 0.159 0.215 0.614
O6 0.160 0.413 0.547
O7 0.201 0.000 0.627
O8 0.203 0.164 0.995
O9 0.297 0.500 0.354
O10 0.303 0.349 0.981
O11 0.338 0.089 0.439
O12 0.339 0.289 0.360
O13 0.444 0.000 0.780
O14 0.491 0.231 0.177
```

Top 12 peaks for 2θ = 10–90°, by angle:
2theta  I (rel.)
10.61  22
12.45  69
13.79  100
23.45  63
26.43  18
32.21  93
32.71  85
37.97  24
38.18  25
40.71  24
41.23  31
54.77  26

Entry 6:
For MnO3, the GGA+U geometry in the Materials Project gives the simulated X-ray diffraction stick pattern in this record (a wavelength of 1.5418 Å).
Intensities are scaled so that the largest is 100.

Atomic structure:
```
data_MnO3
_chemical_formula_sum 'Mn4 O12'
_space_group_name_H-M_alt 'I m m a'
_space_group_IT_number 74
_space_group_name_Hall '-I 2b 2'
_cell_length_a 5.689
_cell_length_b 6.276
_cell_length_c 5.213
_cell_angle_alpha 90.00
_cell_angle_beta 90.00
_cell_angle_gamma 90.00
loop_
_atom_site_label
_atom_site_fract_x
_atom_site_fract_y
_atom_site_fract_z
Mn1 0.000 0.000 0.000
O1 0.000 0.250 0.184
O2 0.250 0.141 0.750
```

Top 12 peaks for 2θ = 10–90°, by angle:
2theta  I (rel.)
23.14  100
31.45  8
36.98  34
38.81  20
42.91  10
45.22  20
47.30  19
51.26  10
56.12  14
63.33  12
64.10  9
68.27  9

Entry 7:
For MgMn2O4, the GGA+U geometry in the Materials Project gives the simulated X-ray diffraction stick pattern in this record (a wavelength of 1.5418 Å).
Intensities are scaled so that the largest is 100.

Atomic structure:
```
data_MgMn2O4
_chemical_formula_sum 'Mg4 Mn8 O16'
_space_group_name_H-M_alt 'P n m a'
_space_group_IT_number 62
_cell_length_a 9.039
_cell_length_b 3.006
_cell_length_c 10.481
_cell_angle_alpha 90.00
_cell_angle_beta 90.00
_cell_angle_gamma 90.00
loop_
_space_group_symop_operation_xyz
'x,y,z'
'-x,-y,-z'
'-x+1/2,-y,z+1/2'
'x+1/2,y,-z+1/2'
'x+1/2,-y+1/2,-z+1/2'
'-x+1/2,y+1/2,z+1/2'
'-x,y+1/2,-z'
'x,-y+1/2,z'
loop_
_atom_site_label
_atom_site_fract_x
_atom_site_fract_y
_atom_site_fract_z
Mg1 0.247 0.250 0.154
Mn1 0.066 0.250 0.385
Mn2 0.082 0.250 0.894
O1 0.020 0.750 0.782
O2 0.098 0.250 0.572
O3 0.120 0.750 0.034
O4 0.220 0.750 0.316
```

Top 12 peaks for 2θ = 10–90°, by angle:
2theta  I (rel.)
19.62  45
34.22  32
34.33  62
35.86  100
40.84  17
50.42  34
50.53  22
61.34  13
61.73  17
62.33  15
62.45  20
72.57  13